Sr3InNiO6: calculated XRD peak list (Cu Kα (weighted mean of Kα1 and Kα2)), based on a DFT-relaxed cell (PBE+U, the Materials Project).
Neutral-atom scattering factors, no anomalous dispersion.

Crystal structure
```
Sr3InNiO6
1.0
9.4595 0.0000 0.0000
0.0000 9.7519 0.0000
-0.3920 0.0000 6.6831
Sr In Ni O
12 4 4 24
Direct
0.0581 0.1849 0.1140
0.0581 0.3151 0.6140
0.2552 0.6299 0.7588
0.2552 0.8701 0.2588
0.4263 0.1858 0.3768
0.4263 0.3142 0.8768
0.5737 0.6858 0.1232
0.5737 0.8142 0.6232
0.7448 0.1299 0.7412
0.7448 0.3701 0.2412
0.9419 0.6849 0.3860
0.9419 0.8151 0.8860
0.2489 0.5021 0.2537
0.2489 0.9979 0.7537
0.7511 0.0021 0.2463
0.7511 0.4979 0.7463
0.0000 0.0000 0.5000
0.0000 0.5000 0.0000
0.5000 0.0000 0.0000
0.5000 0.5000 0.5000
0.0174 0.0631 0.7761
0.0174 0.4369 0.2761
0.1337 0.6700 0.1023
0.1337 0.8300 0.6023
0.1804 0.0975 0.4620
0.1804 0.4025 0.9620
0.2994 0.0986 0.0399
0.2994 0.4014 0.5399
0.3916 0.6607 0.4190
0.3916 0.8393 0.9190
0.4729 0.0629 0.7135
0.4729 0.4371 0.2135
0.5271 0.5629 0.7865
0.5271 0.9371 0.2865
0.6084 0.1607 0.0810
0.6084 0.3393 0.5810
0.7006 0.5986 0.4601
0.7006 0.9014 0.9601
0.8196 0.5975 0.0380
0.8196 0.9025 0.5380
0.8663 0.1700 0.3977
0.8663 0.3300 0.8977
0.9826 0.5631 0.7239
0.9826 0.9369 0.2239
```

Most intense lines, 15 to 90 degrees two-theta, in order of rising 2θ:
4.868 Å, rel. 16.8, hkl 1 1 -1
2.996 Å, rel. 21.1, hkl 3 1 0
2.975 Å, rel. 19.8, hkl 2 2 1
2.949 Å, rel. 21.1, hkl 1 1 2
2.811 Å, rel. 100.0, hkl 2 0 -2
2.332 Å, rel. 17.8, hkl 2 2 2
2.293 Å, rel. 11.3, hkl 3 1 -2
2.057 Å, rel. 11.9, hkl 4 2 -1
2.045 Å, rel. 12.5, hkl 2 4 1
2.026 Å, rel. 11.4, hkl 0 2 3
1.621 Å, rel. 13.7, hkl 3 3 -3
1.580 Å, rel. 11.8, hkl 0 2 4